(1)
For MnTlSe2, a crystal structure in Alexandria, relaxed with PBE gives the computed powder XRD pattern in this record (a wavelength of 1.5418 Å).
Intensities are scaled so that the largest is 100.

Cell and atoms:
Lattice parameters (Å, degrees): 7.333 5.296 7.335 90.00 90.12 90.00
Space group P2 (No. 3)
One atom of each set of equivalent atoms:
Mn1 0.000 0.000 0.000 x1
Mn2 0.000 0.500 0.000 x1
Tl1 0.000 0.251 0.500 x1
Tl2 0.500 0.751 0.000 x1
Se1 0.122 0.750 0.771 x2
Se2 0.229 0.250 0.122 x2

Top 8 peaks for 10 to 80 degrees two-theta, most intense first:
2θ = 32.1°, rel. 100
2θ = 12.1°, rel. 56
2θ = 20.7°, rel. 45
2θ = 52.4°, rel. 31
2θ = 38.2°, rel. 25
2θ = 17.1°, rel. 24
2θ = 24.3°, rel. 23
2θ = 40.6°, rel. 18

=====

(2)
For Tm2MnSe4, a crystal structure in Alexandria, relaxed with PBE gives the computed powder XRD pattern in this record (a wavelength of 1.5418 Å).
Intensities are scaled so that the largest is 100.

Cell and atoms:
Lattice parameters (Å, degrees): 11.500 11.500 11.500 90.00 90.00 90.00
Space group Fd-3m (No. 227, origin choice 2)
One atom of each set of equivalent atoms:
Tm1 0.000 0.000 0.000 x16
Mn1 0.125 0.125 0.625 x8
Se1 0.004 0.004 0.246 x32

Top 8 peaks for 10 to 80 degrees two-theta, most intense first:
2θ = 44.6°, rel. 100
2θ = 31.1°, rel. 96
2θ = 25.7°, rel. 74
2θ = 13.3°, rel. 50
2θ = 40.8°, rel. 33
2θ = 73.7°, rel. 32
2θ = 55.3°, rel. 25
2θ = 62.0°, rel. 17

=====

(3)
For UMn2Se4, a crystal structure in Alexandria, relaxed with PBE gives the computed powder XRD pattern in this record (a wavelength of 1.5418 Å).
Intensities are scaled so that the largest is 100.

Cell and atoms:
Lattice parameters (Å, degrees): 3.869 12.640 12.739 90.00 90.00 90.00
Space group Cmcm (No. 63)
One atom of each set of equivalent atoms:
U1 0.000 0.119 0.250 x4
Mn1 0.000 0.370 0.065 x8
Se1 0.000 0.000 0.000 x4
Se2 0.000 0.274 0.616 x8
Se3 0.000 0.453 0.250 x4

Top 8 peaks for 10 to 80 degrees two-theta, most intense first:
2θ = 32.2°, rel. 100
2θ = 34.5°, rel. 52
2θ = 15.7°, rel. 41
2θ = 25.3°, rel. 31
2θ = 31.5°, rel. 29
2θ = 43.1°, rel. 26
2θ = 48.2°, rel. 22
2θ = 47.0°, rel. 20